Cr2CuPbO8: calculated powder diffraction line list (CuKα), based on DFT lattice parameters and positions (GGA+U).
Lines closer than 0.1° are merged.

Structural model:
a = 7.8352 Å, b = 7.8352 Å, c = 7.8352 Å
α = 37.07°, β = 37.07°, γ = 37.07°
Positions (direct):
Cr 0.2451 0.2451 0.2451
Cr 0.7549 0.7549 0.7549
Cu 0.5000 0.5000 0.5000
Pb 0.0000 0.0000 0.0000
O 0.1030 0.7669 0.4633
O 0.2331 0.5367 0.8970
O 0.3218 0.3218 0.3218
O 0.4633 0.1030 0.7669
O 0.5367 0.8970 0.2331
O 0.6782 0.6782 0.6782
O 0.7669 0.4633 0.1030
O 0.8970 0.2331 0.5367

The 10 most intense peaks (2θ = 15–90°), low angle first:
2theta, d [Å], I/Imax
20.99, 4.232, 16.2
22.15, 4.012, 18.8
26.32, 3.386, 100.0
36.07, 2.490, 40.7
38.19, 2.357, 20.0
39.01, 2.309, 29.5
44.04, 2.056, 18.9
45.20, 2.006, 21.0
59.13, 1.562, 19.3
63.24, 1.470, 21.1